Record 1
Starting from a cell relaxed with GGA-PBE, the X-ray diffraction stick pattern of Pu2GeBRh6 was computed for Cu Ka.
Intensities are scaled so that the largest is 100.

Cell and atoms:
abc: 5.691 8.467 7.044
angles: 90.00 90.00 90.00
Atoms (fractional coordinates):
Pu (0.250, 0.029, 0.221)
Pu (0.250, 0.471, 0.221)
Pu (0.750, 0.529, 0.779)
Pu (0.750, 0.971, 0.779)
Ge (0.250, 0.750, 0.823)
Ge (0.750, 0.250, 0.177)
B (0.250, 0.250, 0.685)
B (0.750, 0.750, 0.315)
Rh (0.003, 0.250, 0.899)
Rh (0.012, 0.750, 0.515)
Rh (0.250, 0.007, 0.653)
Rh (0.250, 0.493, 0.653)
Rh (0.488, 0.750, 0.515)
Rh (0.497, 0.250, 0.899)
Rh (0.503, 0.750, 0.101)
Rh (0.512, 0.250, 0.485)
Rh (0.750, 0.507, 0.347)
Rh (0.750, 0.993, 0.347)
Rh (0.988, 0.250, 0.485)
Rh (0.997, 0.750, 0.101)

Principal peaks in the range 2θ from 10° to 90°, by intensity:
two_theta, intensity
38.1, 100
33.1, 74
40.8, 59
29.2, 46
42.7, 42
36.8, 38
60.5, 28
47.0, 22
20.1, 20
29.8, 19

Record 2
Starting from a cell relaxed with GGA-PBE, the X-ray diffraction stick pattern of Sr2MgCuH6 was computed for Cu Ka.
Intensities are scaled so that the largest is 100.

Cell and atoms:
abc: 5.518 5.518 5.525
angles: 119.94 119.94 89.86
Atoms (fractional coordinates):
Sr (0.250, 0.750, 0.000)
Sr (0.750, 0.250, 0.000)
Mg (0.000, 0.000, 0.500)
Cu (0.500, 0.500, 0.500)
H (0.260, 0.260, 0.020)
H (0.261, 0.261, 0.500)
H (0.261, 0.739, 0.500)
H (0.739, 0.261, 0.500)
H (0.739, 0.739, 0.500)
H (0.740, 0.740, 0.980)

Principal peaks in the range 2θ from 10° to 90°, by intensity:
two_theta, intensity
32.4, 100
32.5, 50
57.8, 28
57.7, 19
22.7, 10
46.3, 10
46.5, 10
46.6, 9
57.9, 9
19.7, 9

Record 3
Starting from a cell relaxed with GGA-PBE, the X-ray diffraction stick pattern of K2TiSi6O15 was computed for Cu Ka.
Intensities are scaled so that the largest is 100.

Cell and atoms:
abc: 7.031 7.340 7.607
angles: 99.12 105.95 112.70
Atoms (fractional coordinates):
K (0.215, 0.286, 0.178)
K (0.785, 0.714, 0.822)
Ti (0.500, 0.000, 0.000)
Si (0.183, 0.502, 0.688)
Si (0.200, 0.814, 0.258)
Si (0.354, 0.168, 0.631)
Si (0.646, 0.832, 0.369)
Si (0.800, 0.186, 0.742)
Si (0.817, 0.498, 0.312)
O (0.000, 0.500, 0.500)
O (0.047, 0.388, 0.817)
O (0.203, 0.990, 0.422)
O (0.239, 0.901, 0.083)
O (0.293, 0.360, 0.610)
O (0.330, 0.088, 0.811)
O (0.378, 0.728, 0.813)
O (0.384, 0.735, 0.352)
O (0.616, 0.265, 0.648)
O (0.622, 0.272, 0.187)
O (0.670, 0.912, 0.189)
O (0.707, 0.640, 0.390)
O (0.761, 0.099, 0.917)
O (0.797, 0.010, 0.578)
O (0.953, 0.612, 0.183)

Principal peaks in the range 2θ from 10° to 90°, by intensity:
two_theta, intensity
29.1, 100
25.1, 98
33.8, 66
27.5, 61
21.3, 57
24.3, 53
26.2, 51
29.6, 36
14.9, 34
20.5, 32